Computed X-ray diffraction stick pattern
Compound: La2PrUS8
Radiation: Cu Kα (λ = 1.5418 Å)
Structure: a structure optimized by DFT (GGA-PBE)
No peak broadening, texture or thermal motion is included.

Most intense lines, 2θ from 10° to 80°, low angle first:
- 22.89 deg, 3.886 Å, rel. 94, hkl 1 0 1
- 23.23 deg, 3.829 Å, rel. 93, hkl 0 2 1
- 26.94 deg, 3.309 Å, rel. 21, hkl 1 2 0
- 37.91 deg, 2.373 Å, rel. 100, hkl 1 2 2
- 38.04 deg, 2.366 Å, rel. 25, hkl 2 0 0
- 38.90 deg, 2.315 Å, rel. 23, hkl 0 4 0
- 44.26 deg, 2.047 Å, rel. 17, hkl 1 0 -3
- 45.05 deg, 2.013 Å, rel. 33, hkl 2 2 -1
- 45.61 deg, 1.989 Å, rel. 31, hkl 1 4 1
- 68.64 deg, 1.367 Å, rel. 17, hkl 3 2 2

Cell and atoms:
Cell: 4.731 9.261 6.810 Å, 90.00 90.10 90.00°
Space group P2/m (No. 10)
Unique sites:
La  0.000  0.250  0.000 x2
Pr  0.500  0.000  0.500 x1
U  0.500  0.500  0.500 x1
S  0.000  0.000  0.249 x2
S  0.000  0.500  0.283 x2
S  0.499  0.275  0.739 x4